(1)
Diffraction record for Mg7Ga3. The powder diffractogram is computed, not measured: it uses a cell relaxed with GGA-PBE and Cu Kα.
Lines closer than 0.1° are merged.

Most intense lines, 10 to 90 degrees two-theta, by angle:
20.3 deg, d 4.377, I = 228, (1 1 0)
21.4 deg, d 4.145, I = 322, (2 0 1)
25.3 deg, d 3.520, I = 163, (4 0 -1)
26.2 deg, d 3.403, I = 207, (1 1 1)
28.4 deg, d 3.141, I = 157, (3 1 -1)
29.8 deg, d 3.001, I = 198, (2 0 -2)
35.4 deg, d 2.534, I = 751, (1 1 -2)
36.3 deg, d 2.474, I = 1000, (5 1 0)
37.2 deg, d 2.420, I = 239, (3 1 -2)
39.3 deg, d 2.292, I = 454, (0 2 0)
41.9 deg, d 2.156, I = 159, (6 0 -2)
43.7 deg, d 2.072, I = 188, (4 0 2)

Structural model:
```
data_Mg7Ga3
_chemical_formula_sum 'Mg14 Ga6'
_cell_length_a 15.131
_cell_length_b 4.585
_cell_length_c 6.085
_cell_angle_alpha 90.00
_cell_angle_beta 103.86
_cell_angle_gamma 90.00
_space_group_name_H-M_alt 'C 1 2/m 1'
_space_group_IT_number 12
_space_group_name_Hall '-C 2y'
loop_
_atom_site_label
_atom_site_fract_x
_atom_site_fract_y
_atom_site_fract_z
Mg1 0.000 0.000 0.000
Mg2 0.087 0.500 0.354
Mg3 0.123 0.500 0.883
Mg4 0.205 0.000 0.654
Ga1 0.000 0.000 0.500
Ga2 0.190 0.000 0.170
```

(2)
Diffraction record for AcHoAgO4. The powder diffractogram is computed, not measured: it uses a cell relaxed with GGA-PBE and Cu Kα.
Lines closer than 0.1° are merged.

Most intense lines, 10 to 90 degrees two-theta, by angle:
14.2 deg, d 6.256, I = 617, (0 1 1)
15.4 deg, d 5.754, I = 232, (1 0 1)
26.9 deg, d 3.319, I = 1000, (1 2 1)
28.5 deg, d 3.128, I = 187, (0 2 2)
28.9 deg, d 3.091, I = 210, (2 1 1)
31.1 deg, d 2.877, I = 598, (2 0 2)
33.5 deg, d 2.676, I = 276, (2 2 0)
36.7 deg, d 2.450, I = 313, (0 0 4)
37.5 deg, d 2.397, I = 394, (1 2 3)
45.3 deg, d 2.004, I = 290, (3 2 1)
50.5 deg, d 1.807, I = 180, (2 2 4)
55.4 deg, d 1.660, I = 290, (2 4 2)

Structural model:
```
data_AcHoAgO4
_chemical_formula_sum 'Ac4 Ho4 Ag4 O16'
_cell_length_a 7.110
_cell_length_b 8.127
_cell_length_c 9.799
_cell_angle_alpha 90.00
_cell_angle_beta 90.00
_cell_angle_gamma 90.00
_space_group_name_H-M_alt 'I m m a'
_space_group_IT_number 74
_space_group_name_Hall '-I 2b 2'
loop_
_atom_site_label
_atom_site_fract_x
_atom_site_fract_y
_atom_site_fract_z
Ac1 0.000 0.000 0.000
Ho1 0.250 0.250 0.250
Ag1 0.000 0.250 0.517
O1 0.000 0.072 0.241
O2 0.213 0.250 0.017
```

(3)
Diffraction record for KTmPb2F8. The powder diffractogram is computed, not measured: it uses a cell relaxed with GGA-PBE and Cu Kα.
Lines closer than 0.1° are merged.

Most intense lines, 10 to 90 degrees two-theta, by angle:
10.7 deg, d 8.261, I = 182, (0 0 1)
26.2 deg, d 3.396, I = 1000, (0 1 2)
26.5 deg, d 3.364, I = 988, (1 1 0)
30.0 deg, d 2.983, I = 203, (0 2 0)
30.8 deg, d 2.900, I = 379, (1 0 2)
43.5 deg, d 2.080, I = 772, (1 2 2)
43.8 deg, d 2.065, I = 179, (0 0 4)
44.5 deg, d 2.037, I = 190, (2 0 0)
51.0 deg, d 1.792, I = 169, (0 3 2)
51.1 deg, d 1.787, I = 162, (1 3 0)
52.0 deg, d 1.760, I = 311, (1 1 4)
52.4 deg, d 1.747, I = 326, (2 1 2)

Structural model:
```
data_KTmPb2F8
_chemical_formula_sum 'K1 Tm1 Pb2 F8'
_cell_length_a 4.074
_cell_length_b 5.967
_cell_length_c 8.261
_cell_angle_alpha 90.00
_cell_angle_beta 90.00
_cell_angle_gamma 90.00
_space_group_name_H-M_alt 'P m m m'
_space_group_IT_number 47
_space_group_name_Hall '-P 2 2'
loop_
_atom_site_label
_atom_site_fract_x
_atom_site_fract_y
_atom_site_fract_z
K1 0.000 0.000 0.000
Tm1 0.000 0.000 0.500
Pb1 0.500 0.500 0.245
F1 0.000 0.236 0.291
F2 0.500 0.203 0.500
F3 0.500 0.276 0.000
```

(4)
Diffraction record for Ba3HgSb3. The powder diffractogram is computed, not measured: it uses a cell relaxed with GGA-PBE and Cu Kα.
Lines closer than 0.1° are merged.

Most intense lines, 10 to 90 degrees two-theta, by angle:
12.2 deg, d 7.229, I = 131, (0 0 2)
14.2 deg, d 6.238, I = 284, (1 1 1)
22.5 deg, d 3.954, I = 159, (1 1 3)
24.4 deg, d 3.647, I = 192, (0 2 0)
24.6 deg, d 3.619, I = 620, (6 0 0)
34.9 deg, d 2.569, I = 1000, (6 2 0)
35.1 deg, d 2.560, I = 553, (6 0 4)
43.2 deg, d 2.095, I = 161, (6 2 4)
50.5 deg, d 1.807, I = 128, (0 0 8)
62.5 deg, d 1.485, I = 100, (6 4 4)
62.8 deg, d 1.481, I = 159, (12 2 4)
62.9 deg, d 1.478, I = 148, (6 2 8)

Structural model:
```
data_Ba3HgSb3
_chemical_formula_sum 'Ba24 Hg8 Sb24'
_cell_length_a 21.751
_cell_length_b 7.293
_cell_length_c 14.458
_cell_angle_alpha 90.00
_cell_angle_beta 90.00
_cell_angle_gamma 90.00
_space_group_name_H-M_alt 'C m c e'
_space_group_IT_number 64
_space_group_name_Hall '-C 2ac 2'
loop_
_atom_site_label
_atom_site_fract_x
_atom_site_fract_y
_atom_site_fract_z
Ba1 0.000 0.206 0.142
Ba2 0.173 0.209 0.871
Hg1 0.087 0.000 0.500
Sb1 0.000 0.222 0.390
Sb2 0.163 0.219 0.623
```